[1]
Calculated powder XRD pattern of RbVBr3 for Cu Kα (λ = 1.5418 Å), from a PBE-relaxed structure.
Kinematic intensities with the Lorentz-polarization factor, no thermal factor.

Top 10 peaks for 2θ from 10° to 90°, by angle:
d (Å)	2θ (°)	I/Imax
6.542	13.5	18
3.275	27.2	31
2.927	30.5	100
2.315	38.9	27
1.889	48.2	23
1.816	50.2	22
1.637	56.2	20
1.587	58.1	15
1.237	77.1	10
1.215	78.8	12

Cell and atoms:
```
RbVBr3
1.0
13.0846 0.0000 0.0000
-6.5423 11.3316 0.0000
0.0000 0.0000 6.5527
Rb V Br
6 6 18
Cartesian
-2.1663 3.7522 1.6382
-4.3760 7.5794 4.9145
4.3326 0.0000 1.6382
2.1663 3.7522 4.9145
8.7520 0.0000 4.9145
4.3760 7.5794 1.6382
0.0000 0.0000 0.0000
0.0000 0.0000 3.2764
0.0000 7.5544 0.1760
0.0000 7.5544 3.4524
6.5423 3.7772 3.1004
6.5423 3.7772 6.3767
-1.0397 1.8008 4.9145
-5.5026 9.5308 1.6382
2.0794 0.0000 4.9145
1.0397 1.8008 1.6382
-1.0508 5.7597 5.0908
-2.0796 7.5417 1.8144
1.0508 5.7597 1.8144
-1.0288 9.3618 5.0908
2.0796 7.5417 5.0908
1.0288 9.3618 1.8144
5.5135 1.9698 4.7383
4.4627 3.7899 1.4619
7.5711 1.9698 1.4619
5.4915 5.5719 4.7383
8.6219 3.7899 4.7383
7.5931 5.5719 1.4619
11.0052 0.0000 1.6382
5.5026 9.5308 4.9145
```

***

[2]
Calculated powder XRD pattern of Rb2WBr6 for Cu Kα (λ = 1.5418 Å), from a PBE-relaxed structure.
Kinematic intensities with the Lorentz-polarization factor, no thermal factor.

Top 10 peaks for 2θ from 10° to 90°, by angle:
d (Å)	2θ (°)	I/Imax
6.233	14.2	71
5.398	16.4	24
3.817	23.3	26
3.255	27.4	26
3.117	28.6	65
2.699	33.2	100
1.909	47.6	70
1.628	56.5	25
1.558	59.3	23
1.207	79.4	29

Cell and atoms:
```
Rb2WBr6
1.0
0.0000 5.3983 5.3983
5.3983 0.0000 5.3983
5.3983 5.3983 0.0000
Rb W Br
2 1 6
Cartesian
2.6991 2.6991 2.6991
8.0974 8.0974 8.0974
0.0000 0.0000 0.0000
5.3983 5.3983 2.5580
5.3983 2.5580 5.3983
8.2386 5.3983 5.3983
2.5580 5.3983 5.3983
5.3983 8.2386 5.3983
5.3983 5.3983 8.2386
```

***

[3]
Calculated powder XRD pattern of Rb2ZnBr4 for Cu Kα (λ = 1.5418 Å), from a PBE-relaxed structure.
Kinematic intensities with the Lorentz-polarization factor, no thermal factor.

Top 10 peaks for 2θ from 10° to 90°, by angle:
d (Å)	2θ (°)	I/Imax
5.635	15.7	49
3.966	22.4	49
3.948	22.5	50
3.440	25.9	47
3.424	26.0	37
3.235	27.6	79
3.203	27.9	71
3.007	29.7	100
2.969	30.1	63
1.974	46.0	38

Cell and atoms:
```
Rb2ZnBr4
1.0
9.8795 0.0000 0.0000
0.0000 13.7582 0.0000
0.0000 0.0000 7.8965
Rb Zn Br
8 4 16
Cartesian
0.1137 2.4243 0.0000
1.2200 5.5623 3.9702
3.7198 12.4413 0.0220
4.8260 9.3034 3.9482
5.0535 4.4548 0.0000
6.1597 1.3168 3.9702
8.6595 8.1959 0.0220
9.7658 11.3339 3.9482
2.2050 1.0903 3.9489
2.7348 7.9694 0.0007
7.1447 5.7888 3.9489
7.6745 12.6679 0.0007
0.2187 12.6754 7.8931
1.7286 5.7401 0.1010
1.8627 9.0339 5.8853
1.8996 9.2127 1.9243
3.0401 2.3336 5.8725
3.0770 2.1548 1.9371
3.2111 12.6192 4.0492
4.7210 5.7963 3.9449
5.1585 7.9618 7.8931
6.6684 1.1390 0.1010
6.8025 11.6033 5.8853
6.8394 11.4245 1.9243
7.9799 4.5454 5.8725
8.0167 4.7242 1.9371
8.1508 8.0181 4.0492
9.6608 1.0828 3.9449
```

***

[4]
Calculated powder XRD pattern of Rb2ZnBr4 for Cu Kα (λ = 1.5418 Å), from a PBE-relaxed structure.
Kinematic intensities with the Lorentz-polarization factor, no thermal factor.

Top 10 peaks for 2θ from 10° to 90°, by angle:
d (Å)	2θ (°)	I/Imax
3.951	22.5	29
3.914	22.7	31
3.433	26.0	37
3.211	27.8	100
2.996	29.8	63
2.968	30.1	36
2.675	33.5	25
1.976	45.9	22
1.957	46.4	25
1.836	49.7	20

Cell and atoms:
```
Rb2ZnBr4
1.0
9.8909 0.0000 0.0000
0.0000 7.8290 0.0000
0.0000 0.0000 13.7311
Rb Zn Br
8 4 16
Cartesian
0.1529 1.9572 2.3884
1.2405 5.8717 5.5676
3.7049 1.9572 12.4331
4.7925 5.8717 9.2539
5.0983 1.9572 4.4771
6.1860 5.8717 1.2980
8.6503 1.9572 8.1635
9.7380 5.8717 11.3427
2.2313 5.8717 1.0652
2.7141 1.9572 7.9307
7.1768 5.8717 5.8003
7.6595 1.9572 12.6659
0.1862 1.9572 12.5850
1.7870 1.9572 5.6685
1.8180 3.9288 9.0373
1.8180 7.8146 9.0373
3.1274 0.0144 2.1718
3.1274 3.9001 2.1718
3.1584 5.8717 12.5340
4.7592 5.8717 5.7195
5.1317 1.9572 8.0116
6.7324 1.9572 1.1970
6.7635 3.9288 11.5593
6.7635 7.8146 11.5593
8.0728 0.0144 4.6938
8.0728 3.9001 4.6938
8.1039 5.8717 8.0626
9.7046 5.8717 1.1461
```